[1]
This entry pairs a crystal structure of ZrBr2 with its calculated X-ray powder pattern. Radiation: Cu Kα (weighted mean of Kα1 and Kα2). Structure: the PBE geometry in OQMD.
Kinematic intensities with the Lorentz-polarization factor, no thermal factor.

Atomic structure:
a = 3.5609 Å, b = 3.5609 Å, c = 7.6040 Å
α = 90.00°, β = 90.00°, γ = 120.00°
Fractional positions:
1 Zr 0.0000 0.0000 0.0000
2 Br 0.3333 0.6667 0.2407
3 Br 0.3333 0.6667 0.7593

The 10 most intense peaks (2θ from 10° to 90°), by intensity:
2θ/deg, intensity
37.55, 100
11.64, 62
28.95, 41
51.31, 26
31.30, 26
65.30, 19
87.54, 18
72.77, 17
46.37, 13
56.90, 11

---

[2]
This entry pairs a crystal structure of Cd14C with its calculated X-ray powder pattern. Radiation: Cu Kα (weighted mean of Kα1 and Kα2). Structure: the PBE geometry in OQMD.
Kinematic intensities with the Lorentz-polarization factor, no thermal factor.

Atomic structure:
a = 7.1783 Å, b = 7.1783 Å, c = 7.1783 Å
α = 78.46°, β = 78.46°, γ = 78.46°
Fractional positions:
1 Cd 0.1518 0.1518 0.1518
2 Cd 0.1792 0.5000 0.8208
3 Cd 0.1792 0.8208 0.5000
4 Cd 0.2083 0.2083 0.5754
5 Cd 0.2083 0.5754 0.2083
6 Cd 0.4246 0.7917 0.7917
7 Cd 0.5000 0.1792 0.8208
8 Cd 0.5000 0.8208 0.1792
9 Cd 0.5754 0.2083 0.2083
10 Cd 0.7917 0.4246 0.7917
11 Cd 0.7917 0.7917 0.4246
12 Cd 0.8208 0.1792 0.5000
13 Cd 0.8208 0.5000 0.1792
14 Cd 0.8482 0.8482 0.8482
15 C 0.0000 0.0000 0.0000

The 10 most intense peaks (2θ from 10° to 90°), by intensity:
2θ/deg, intensity
38.96, 100
30.69, 40
36.65, 32
73.55, 21
67.53, 21
61.26, 18
34.21, 16
25.69, 15
33.36, 14
32.49, 12

---

[3]
This entry pairs a crystal structure of CdH8C2NCl3 with its calculated X-ray powder pattern. Radiation: Cu Kα (weighted mean of Kα1 and Kα2). Structure: the PBE geometry in OQMD.
Kinematic intensities with the Lorentz-polarization factor, no thermal factor.

Atomic structure:
a = 8.6115 Å, b = 13.1019 Å, c = 6.7279 Å
α = 90.00°, β = 98.66°, γ = 90.00°
Fractional positions:
1 Cd 0.2025 0.2423 0.0198
2 Cd 0.2025 0.2577 0.5198
3 Cd 0.7975 0.7423 0.4802
4 Cd 0.7975 0.7577 0.9802
5 H 0.1161 0.5390 0.4395
6 H 0.1161 0.9610 0.9395
7 H 0.1215 0.5798 0.0893
8 H 0.1215 0.9202 0.5893
9 H 0.1933 0.6639 0.4086
10 H 0.1933 0.8361 0.9086
11 H 0.2353 0.0200 0.6666
12 H 0.2353 0.4800 0.1666
13 H 0.3245 0.5594 0.4866
14 H 0.3245 0.9406 0.9866
15 H 0.3464 0.6917 0.1186
16 H 0.3464 0.8083 0.6186
17 H 0.3580 0.5874 0.9482
18 H 0.3580 0.9126 0.4482
19 H 0.4682 0.5841 0.1975
20 H 0.4682 0.9159 0.6975
21 H 0.5318 0.0841 0.3025
22 H 0.5318 0.4159 0.8025
23 H 0.6420 0.0874 0.5518
24 H 0.6420 0.4126 0.0518
25 H 0.6536 0.1917 0.3814
26 H 0.6536 0.3083 0.8814
27 H 0.6755 0.0594 0.0134
28 H 0.6755 0.4406 0.5134
29 H 0.7647 0.5200 0.8334
30 H 0.7647 0.9800 0.3334
31 H 0.8067 0.1639 0.0914
32 H 0.8067 0.3361 0.5914
33 H 0.8785 0.0798 0.4107
34 H 0.8785 0.4202 0.9107
35 H 0.8839 0.0390 0.0605
36 H 0.8839 0.4610 0.5605
37 C 0.2139 0.5820 0.3948
38 C 0.2139 0.9180 0.8948
39 C 0.3588 0.6090 0.1056
40 C 0.3588 0.8910 0.6056
41 C 0.6412 0.1090 0.3944
42 C 0.6412 0.3910 0.8944
43 C 0.7861 0.0820 0.1052
44 C 0.7861 0.4180 0.6052
45 N 0.2243 0.5584 0.1810
46 N 0.2243 0.9416 0.6810
47 N 0.7757 0.0584 0.3190
48 N 0.7757 0.4416 0.8190
49 Cl 0.0101 0.6667 0.7860
50 Cl 0.0101 0.8333 0.2860
51 Cl 0.1957 0.0962 0.2819
52 Cl 0.1957 0.4038 0.7819
53 Cl 0.4033 0.1612 0.8070
54 Cl 0.4033 0.3388 0.3070
55 Cl 0.5967 0.6612 0.6930
56 Cl 0.5967 0.8388 0.1930
57 Cl 0.8043 0.5962 0.2181
58 Cl 0.8043 0.9038 0.7181
59 Cl 0.9899 0.1667 0.7140
60 Cl 0.9899 0.3333 0.2140

The 10 most intense peaks (2θ from 10° to 90°), by intensity:
2θ/deg, intensity
12.40, 100
13.52, 33
22.89, 20
36.75, 13
10.39, 12
20.87, 11
38.58, 11
31.07, 10
34.26, 10
39.29, 9